(1)
Structure and calculated powder diffractogram of Li2VSi4O11 (DFT lattice parameters and positions (PBE+U); Cu Kα X-rays).
Neutral-atom scattering factors, no anomalous dispersion.

Cell and atoms:
```
data_Li2VSi4O11
_cell_length_a 10.597
_cell_length_b 10.597
_cell_length_c 7.814
_cell_angle_alpha 90.00
_cell_angle_beta 90.00
_cell_angle_gamma 90.00
_space_group_name_H-M_alt 'I 4/m'
_space_group_IT_number 87
_space_group_name_Hall '-I 4'
loop_
_atom_site_label
_atom_site_type_symbol
_atom_site_fract_x
_atom_site_fract_y
_atom_site_fract_z
_atom_site_occupancy
Li1 Li 0.119 0.852 0.000 1
V1 V 0.000 0.000 0.262 1
Si1 Si 0.022 0.305 0.306 1
O1 O 0.000 0.000 0.000 1
O2 O 0.000 0.000 0.500 1
O3 O 0.033 0.709 0.500 1
O4 O 0.069 0.172 0.226 1
O5 O 0.093 0.640 0.188 1
```

Main lines, low angle first (10° ≤ 2θ ≤ 80°):
- (2 0 0), 16.7 deg, intensity 91
- (2 1 1), 21.9 deg, intensity 26
- (0 0 2), 22.8 deg, intensity 100
- (2 2 0), 23.7 deg, intensity 29
- (1 3 0), 26.6 deg, intensity 83
- (3 0 1), 27.7 deg, intensity 30
- (2 0 2), 28.4 deg, intensity 14
- (1 3 2), 35.3 deg, intensity 33
- (3 3 0), 36.0 deg, intensity 36
- (2 1 3), 39.5 deg, intensity 16
- (4 4 0), 48.6 deg, intensity 13
- (1 5 2), 49.7 deg, intensity 14

(2)
Structure and calculated powder diffractogram of VOF (DFT lattice parameters and positions (PBE+U); Cu Kα X-rays).
Neutral-atom scattering factors, no anomalous dispersion.

Cell and atoms:
```
data_VOF
_cell_length_a 4.746
_cell_length_b 3.102
_cell_length_c 18.937
_cell_angle_alpha 90.00
_cell_angle_beta 91.27
_cell_angle_gamma 90.00
_space_group_name_H-M_alt 'P 1 m 1'
_space_group_IT_number 6
loop_
_space_group_symop_operation_xyz
'x,y,z'
'x,-y,z'
loop_
_atom_site_label
_atom_site_type_symbol
_atom_site_fract_x
_atom_site_fract_y
_atom_site_fract_z
_atom_site_occupancy
V1 V 0.000 0.000 0.000 1
V2 V 0.015 0.000 0.250 1
V3 V 0.429 0.500 0.625 1
V4 V 0.450 0.500 0.875 1
V5 V 0.487 0.500 0.375 1
V6 V 0.563 0.500 0.125 1
V7 V 0.884 0.000 0.751 1
V8 V 0.959 0.000 0.500 1
O1 O 0.180 0.500 0.950 1
O2 O 0.242 0.000 0.575 1
O3 O 0.298 0.000 0.325 1
O4 O 0.625 0.000 0.673 1
O5 O 0.676 0.000 0.425 1
O6 O 0.727 0.000 0.176 1
O7 O 0.727 0.500 0.801 1
O8 O 0.811 0.500 0.049 1
F1 F 0.126 0.500 0.704 1
F2 F 0.165 0.500 0.451 1
F3 F 0.218 0.500 0.200 1
F4 F 0.238 0.000 0.825 1
F5 F 0.315 0.000 0.079 1
F6 F 0.665 0.000 0.923 1
F7 F 0.753 0.500 0.549 1
F8 F 0.807 0.500 0.299 1
```

Main lines, low angle first (10° ≤ 2θ ≤ 80°):
- (1 0 -4), 26.3 deg, intensity 100
- (1 0 4), 26.9 deg, intensity 98
- (0 1 4), 34.6 deg, intensity 100
- (1 1 -4), 39.4 deg, intensity 24
- (1 1 4), 39.8 deg, intensity 23
- (2 1 -4), 51.9 deg, intensity 26
- (1 1 -8), 52.0 deg, intensity 32
- (1 1 8), 52.6 deg, intensity 51
- (0 2 0), 59.6 deg, intensity 22
- (3 1 0), 66.3 deg, intensity 23
- (0 1 12), 66.5 deg, intensity 29
- (1 2 4), 66.6 deg, intensity 19

(3)
Structure and calculated powder diffractogram of Mg2CrWO6 (DFT lattice parameters and positions (PBE+U); Cu Kα X-rays).
Neutral-atom scattering factors, no anomalous dispersion.

Cell and atoms:
```
data_Mg2CrWO6
_cell_length_a 5.193
_cell_length_b 5.357
_cell_length_c 9.217
_cell_angle_alpha 90.00
_cell_angle_beta 124.24
_cell_angle_gamma 90.00
_space_group_name_H-M_alt 'P 1 21/c 1'
_space_group_IT_number 14
loop_
_space_group_symop_operation_xyz
'x,y,z'
'-x,-y,-z'
'-x,y+1/2,-z+1/2'
'x,-y+1/2,z+1/2'
loop_
_atom_site_label
_atom_site_type_symbol
_atom_site_fract_x
_atom_site_fract_y
_atom_site_fract_z
_atom_site_occupancy
Mg1 Mg 0.247 0.046 0.247 1
Cr1 Cr 0.000 0.000 0.500 1
W1 W 0.500 0.000 0.000 1
O1 O 0.126 0.078 0.751 1
O2 O 0.242 0.678 0.561 1
O3 O 0.395 0.181 0.573 1
```

Main lines, low angle first (10° ≤ 2θ ≤ 80°):
- (0 1 1), 20.3 deg, intensity 44
- (1 0 0), 20.7 deg, intensity 39
- (0 0 2), 23.3 deg, intensity 37
- (1 1 -1), 23.9 deg, intensity 70
- (0 2 0), 33.5 deg, intensity 25
- (1 1 -3), 33.6 deg, intensity 100
- (2 0 -2), 34.5 deg, intensity 21
- (2 1 -3), 40.4 deg, intensity 17
- (2 2 -2), 48.9 deg, intensity 24
- (1 1 3), 54.1 deg, intensity 16
- (1 3 1), 59.9 deg, intensity 22
- (3 1 -5), 61.3 deg, intensity 26

(4)
Structure and calculated powder diffractogram of BaDyFe2O5 (DFT lattice parameters and positions (PBE+U); Cu Kα X-rays).
Neutral-atom scattering factors, no anomalous dispersion.

Cell and atoms:
```
data_BaDyFe2O5
_cell_length_a 7.941
_cell_length_b 3.979
_cell_length_c 7.731
_cell_angle_alpha 90.00
_cell_angle_beta 90.00
_cell_angle_gamma 90.00
_space_group_name_H-M_alt 'P m m a'
_space_group_IT_number 51
loop_
_space_group_symop_operation_xyz
'x,y,z'
'-x,-y,-z'
'-x+1/2,-y,z'
'x+1/2,y,-z'
'x+1/2,-y,-z'
'-x+1/2,y,z'
'-x,y,-z'
'x,-y,z'
loop_
_atom_site_label
_atom_site_type_symbol
_atom_site_fract_x
_atom_site_fract_y
_atom_site_fract_z
_atom_site_occupancy
Ba1 Ba 0.000 0.000 0.000 1
Dy1 Dy 0.000 0.000 0.500 1
Fe1 Fe 0.250 0.500 0.263 1
Fe2 Fe 0.250 0.500 0.722 1
O1 O 0.006 0.500 0.317 1
O2 O 0.250 0.000 0.316 1
O3 O 0.250 0.000 0.683 1
O4 O 0.250 0.500 0.014 1
```

Main lines, low angle first (10° ≤ 2θ ≤ 80°):
- (2 0 0), 22.4 deg, intensity 19
- (0 0 2), 23.0 deg, intensity 8
- (2 1 0), 31.8 deg, intensity 44
- (2 0 2), 32.3 deg, intensity 100
- (2 1 2), 39.6 deg, intensity 21
- (0 2 0), 45.6 deg, intensity 15
- (4 0 0), 45.7 deg, intensity 15
- (0 0 4), 47.0 deg, intensity 9
- (2 2 2), 57.0 deg, intensity 39
- (2 1 4), 57.9 deg, intensity 21
- (4 2 0), 66.5 deg, intensity 9
- (4 0 4), 67.6 deg, intensity 12

(5)
Structure and calculated powder diffractogram of LiFe8O12 (DFT lattice parameters and positions (PBE+U); Cu Kα X-rays).
Neutral-atom scattering factors, no anomalous dispersion.

Cell and atoms:
```
data_LiFe8O12
_cell_length_a 5.151
_cell_length_b 5.435
_cell_length_c 7.717
_cell_angle_alpha 93.07
_cell_angle_beta 90.03
_cell_angle_gamma 90.34
_space_group_name_H-M_alt 'P 1'
_space_group_IT_number 1
loop_
_space_group_symop_operation_xyz
'x,y,z'
loop_
_atom_site_label
_atom_site_type_symbol
_atom_site_fract_x
_atom_site_fract_y
_atom_site_fract_z
_atom_site_occupancy
Li1 Li 0.000 0.000 0.000 1
Fe1 Fe 0.047 0.638 0.099 1
Fe2 Fe 0.052 0.786 0.573 1
Fe3 Fe 0.058 0.250 0.765 1
Fe4 Fe 0.060 0.267 0.305 1
Fe5 Fe 0.536 0.199 0.064 1
Fe6 Fe 0.546 0.731 0.790 1
Fe7 Fe 0.552 0.773 0.293 1
Fe8 Fe 0.562 0.286 0.565 1
O1 O 0.202 0.150 0.524 1
O2 O 0.204 0.888 0.816 1
O3 O 0.243 0.980 0.181 1
O4 O 0.365 0.466 0.199 1
O5 O 0.404 0.376 0.836 1
O6 O 0.408 0.646 0.528 1
O7 O 0.685 0.833 0.031 1
O8 O 0.702 0.130 0.337 1
O9 O 0.753 0.014 0.682 1
O10 O 0.848 0.516 0.681 1
O11 O 0.895 0.312 0.012 1
O12 O 0.899 0.626 0.348 1
```

Main lines, low angle first (10° ≤ 2θ ≤ 80°):
- (1 -1 2), 32.8 deg, intensity 100
- (0 2 0), 33.0 deg, intensity 47
- (-1 1 2), 34.0 deg, intensity 54
- (1 1 2), 34.1 deg, intensity 53
- (2 0 0), 34.8 deg, intensity 49
- (0 0 4), 47.2 deg, intensity 24
- (2 -2 0), 48.6 deg, intensity 24
- (2 2 0), 48.9 deg, intensity 20
- (2 0 4), 60.0 deg, intensity 22
- (0 2 4), 60.4 deg, intensity 20
- (3 -1 2), 61.1 deg, intensity 15
- (-3 1 2), 61.8 deg, intensity 16

(6)
Structure and calculated powder diffractogram of MgCr3S6O24 (DFT lattice parameters and positions (PBE+U); Cu Kα X-rays).
Neutral-atom scattering factors, no anomalous dispersion.

Cell and atoms:
```
data_MgCr3S6O24
_cell_length_a 8.5802
_cell_length_b 8.5802
_cell_length_c 20.8258
_cell_angle_alpha 90.00
_cell_angle_beta 90.00
_cell_angle_gamma 120.00
_space_group_name_H-M_alt 'R 3'
_space_group_IT_number 146
_space_group_name_Hall 'R 3'
loop_
_atom_site_label
_atom_site_type_symbol
_atom_site_fract_x
_atom_site_fract_y
_atom_site_fract_z
_atom_site_occupancy
Mg1 Mg 0.0000 0.0000 0.0000 1
Cr1 Cr 0.0000 0.0000 0.1445 1
Cr2 Cr 0.0000 0.0000 0.3608 1
Cr3 Cr 0.0000 0.0000 0.8534 1
S1 S 0.9999 0.2941 0.7453 1
S2 S 0.0402 0.6727 0.9180 1
O1 O 0.0085 0.8096 0.5786 1
O2 O 0.0499 0.8581 0.9230 1
O3 O 0.1315 0.4614 0.4733 1
O4 O 0.1315 0.4621 0.3546 1
O5 O 0.1362 0.6684 0.9764 1
O6 O 0.1437 0.6795 0.8594 1
O7 O 0.1521 0.4805 0.0860 1
O8 O 0.1774 0.4800 0.7443 1
```

Main lines, low angle first (10° ≤ 2θ ≤ 80°):
- (1 0 1), 12.6 deg, intensity 19
- (0 1 2), 14.6 deg, intensity 14
- (1 1 0), 20.7 deg, intensity 8
- (1 0 4), 20.8 deg, intensity 15
- (1 1 3), 24.4 deg, intensity 100
- (0 2 4), 29.5 deg, intensity 12
- (2 1 1), 32.2 deg, intensity 18
- (2 -1 6), 33.2 deg, intensity 22
- (3 0 0), 36.3 deg, intensity 18
- (3 -2 8), 47.6 deg, intensity 11
- (2 2 6), 50.0 deg, intensity 9
- (4 1 0), 56.8 deg, intensity 11

(7)
Structure and calculated powder diffractogram of Ti3Co3Sb2O16 (DFT lattice parameters and positions (PBE+U); Cu Kα X-rays).
Neutral-atom scattering factors, no anomalous dispersion.

Cell and atoms:
```
data_Ti3Co3Sb2O16
_cell_length_a 5.795
_cell_length_b 5.798
_cell_length_c 9.324
_cell_angle_alpha 88.92
_cell_angle_beta 88.98
_cell_angle_gamma 60.61
_space_group_name_H-M_alt 'P 1'
_space_group_IT_number 1
loop_
_space_group_symop_operation_xyz
'x,y,z'
loop_
_atom_site_label
_atom_site_type_symbol
_atom_site_fract_x
_atom_site_fract_y
_atom_site_fract_z
_atom_site_occupancy
Ti1 Ti 0.000 0.000 0.000 1
Ti2 Ti 0.169 0.675 0.502 1
Ti3 Ti 0.665 0.180 0.503 1
Co1 Co 0.003 0.503 0.003 1
Co2 Co 0.493 0.020 0.001 1
Co3 Co 0.664 0.673 0.500 1
Sb1 Sb 0.177 0.183 0.274 1
Sb2 Sb 0.516 0.520 0.780 1
O1 O 0.007 0.513 0.389 1
O2 O 0.009 0.020 0.394 1
O3 O 0.169 0.198 0.901 1
O4 O 0.171 0.685 0.889 1
O5 O 0.316 0.889 0.126 1
O6 O 0.319 0.332 0.116 1
O7 O 0.359 0.368 0.633 1
O8 O 0.363 0.810 0.626 1
O9 O 0.500 0.511 0.393 1
O10 O 0.504 0.017 0.389 1
O11 O 0.676 0.182 0.890 1
O12 O 0.678 0.691 0.890 1
O13 O 0.802 0.372 0.626 1
O14 O 0.832 0.835 0.098 1
O15 O 0.832 0.842 0.598 1
O16 O 0.872 0.338 0.126 1
```

Main lines, low angle first (10° ≤ 2θ ≤ 80°):
- (1 1 1), 19.9 deg, intensity 100
- (1 0 -1), 20.1 deg, intensity 61
- (1 1 -1), 20.3 deg, intensity 27
- (1 1 2), 25.9 deg, intensity 28
- (1 0 -2), 26.2 deg, intensity 20
- (0 1 3), 33.7 deg, intensity 29
- (0 1 -3), 34.0 deg, intensity 20
- (1 -1 2), 36.2 deg, intensity 53
- (1 2 -2), 36.8 deg, intensity 46
- (2 2 1), 37.0 deg, intensity 26
- (0 2 3), 46.1 deg, intensity 19
- (4 2 0), 64.3 deg, intensity 24

Repeat the third record exactly.
Structure and calculated powder diffractogram of Mg2CrWO6 (DFT lattice parameters and positions (PBE+U); Cu Kα X-rays).
Neutral-atom scattering factors, no anomalous dispersion.

Cell and atoms:
```
data_Mg2CrWO6
_cell_length_a 5.193
_cell_length_b 5.357
_cell_length_c 9.217
_cell_angle_alpha 90.00
_cell_angle_beta 124.24
_cell_angle_gamma 90.00
_space_group_name_H-M_alt 'P 1 21/c 1'
_space_group_IT_number 14
loop_
_space_group_symop_operation_xyz
'x,y,z'
'-x,-y,-z'
'-x,y+1/2,-z+1/2'
'x,-y+1/2,z+1/2'
loop_
_atom_site_label
_atom_site_type_symbol
_atom_site_fract_x
_atom_site_fract_y
_atom_site_fract_z
_atom_site_occupancy
Mg1 Mg 0.247 0.046 0.247 1
Cr1 Cr 0.000 0.000 0.500 1
W1 W 0.500 0.000 0.000 1
O1 O 0.126 0.078 0.751 1
O2 O 0.242 0.678 0.561 1
O3 O 0.395 0.181 0.573 1
```

Main lines, low angle first (10° ≤ 2θ ≤ 80°):
- (0 1 1), 20.3 deg, intensity 44
- (1 0 0), 20.7 deg, intensity 39
- (0 0 2), 23.3 deg, intensity 37
- (1 1 -1), 23.9 deg, intensity 70
- (0 2 0), 33.5 deg, intensity 25
- (1 1 -3), 33.6 deg, intensity 100
- (2 0 -2), 34.5 deg, intensity 21
- (2 1 -3), 40.4 deg, intensity 17
- (2 2 -2), 48.9 deg, intensity 24
- (1 1 3), 54.1 deg, intensity 16
- (1 3 1), 59.9 deg, intensity 22
- (3 1 -5), 61.3 deg, intensity 26